Starting from a cell relaxed with PBE, the X-ray diffraction stick pattern of TbDyEr4Se8 was computed for Cu Kα, 1.54184 Å.
No peak broadening, texture or thermal motion is included.

Top 8 peaks for 10 to 90 degrees two-theta, by intensity:
d = 2.093 Å, I = 1000; d = 3.570 Å, I = 994; d = 2.279 Å, I = 509; d = 2.960 Å, I = 487; d = 4.187 Å, I = 273; d = 1.542 Å, I = 239; d = 1.209 Å, I = 239; d = 1.480 Å, I = 159

```
TbDyEr4Se8
1.0
4.1844 2.4159 6.8434
-4.1844 2.4159 6.8434
0.0000 -4.8317 6.8434
Tb Dy Er Se
1 1 4 8
Cartesian
0.0000 0.0000 0.0000
0.0000 0.0000 7.6912
0.0000 -2.4092 11.1081
-2.0864 1.2046 11.1081
0.0000 0.0000 15.3844
2.0864 1.2046 11.1081
0.0000 -2.2625 5.9005
-1.9594 1.1313 5.9005
0.0000 0.0000 2.7442
-1.9797 -1.1430 9.4638
1.9594 1.1313 5.9005
0.0000 0.0000 12.6673
1.9797 -1.1430 9.4638
0.0000 2.2860 9.4638
```